PmCd2Pb2: theoretical XRD peak list (Cu Kα (λ = 1.5418 Å)), based on a crystal structure in Alexandria, relaxed with PBE.
Lines closer than 0.1° are merged.

The 12 most intense peaks (5 to 70 degrees two-theta), in order of falling intensity:
h k l  2θ (°)  intensity
1 5 1  32.77  100.0
0 0 2  38.64  17.9
2 0 0  39.10  17.3
0 10 0  36.28  13.7
1 5 3  66.23  13.1
3 5 1  66.86  12.8
1 3 1  29.33  12.1
2 0 2  56.14  12.0
0 8 0  28.85  9.2
0 10 2  54.04  8.7
1 13 1  55.82  8.6
2 10 0  54.39  8.5

Cell and atoms:
abc: 4.608 24.764 4.660
angles: 90.00 90.00 90.00
Space group Cmcm (No. 63)
One atom of each set of equivalent atoms:
Pm (0.000, 0.144, 0.250)
Cd (0.000, 0.040, 0.750)
Cd (0.000, 0.457, 0.750)
Pb (0.000, 0.249, 0.750)
Pb (0.000, 0.367, 0.250)



AlBO3: theoretical XRD peak list (Cu Kα (λ = 1.5418 Å)), based on a crystal structure in Alexandria, relaxed with PBE.
Lines closer than 0.1° are merged.

The 12 most intense peaks (5 to 70 degrees two-theta), in order of falling intensity:
h k l  2θ (°)  intensity
1 2 1  36.47  100.0
0 3 1  43.00  87.8
1 0 1  26.50  72.5
1 1 1  29.28  66.8
2 1 0  35.48  66.6
2 1 1  41.41  65.1
3 0 1  55.32  62.8
2 2 2  60.72  61.2
2 4 0  61.72  43.3
1 4 1  57.88  38.2
1 0 2  45.41  35.8
0 2 0  24.60  34.3

Cell and atoms:
abc: 5.401 7.236 4.300
angles: 90.00 90.00 90.00
Space group Pnma (No. 62)
One atom of each set of equivalent atoms:
Al (0.000, 0.000, 0.000)
B (0.131, 0.250, 0.498)
O (0.034, 0.250, 0.201)
O (0.189, 0.087, 0.655)